No. 1
Theoretical PXRD pattern of GaCu6Pd12 for Cu Kα (weighted mean of Kα1 and Kα2), from the GGA-PBE geometry in Alexandria.

Atomic structure:
```
GaCu6Pd12
1.0
4.590 2.650 3.820
-4.590 2.650 3.820
0.000 -5.300 3.820
Ga Cu Pd
1 6 12
direct
0.000 0.000 0.000
0.112 0.730 0.266
0.266 0.112 0.730
0.270 0.734 0.888
0.730 0.266 0.112
0.734 0.888 0.270
0.888 0.270 0.734
0.022 0.152 0.367
0.152 0.367 0.022
0.197 0.471 0.564
0.367 0.022 0.152
0.436 0.803 0.529
0.471 0.564 0.197
0.529 0.436 0.803
0.564 0.197 0.471
0.633 0.978 0.848
0.803 0.529 0.436
0.848 0.633 0.978
0.978 0.848 0.633
```

Peak list (10 most intense, 2θ = 10–80°, in order of rising 2θ)
d/Å  Rel. int.
2.906  28
2.202  51
2.177  47
2.165  100
2.073  76
2.058  46
1.967  21
1.284  14
1.274  15
1.208  15

***

No. 2
Theoretical PXRD pattern of Tb5Ho2Bi5 for Cu Kα (weighted mean of Kα1 and Kα2), from the GGA-PBE geometry in Alexandria.

Atomic structure:
```
Tb5Ho2Bi5
1.0
7.322 -2.223 0.000
7.322 2.223 0.000
-4.773 0.000 11.842
Tb Ho Bi
5 2 5
direct
0.000 0.000 0.000
0.163 0.163 0.531
0.212 0.212 0.836
0.788 0.788 0.164
0.837 0.837 0.469
0.450 0.450 0.712
0.550 0.550 0.288
0.196 0.196 0.283
0.381 0.381 0.065
0.500 0.500 0.500
0.619 0.619 0.935
0.804 0.804 0.717
```

Peak list (10 most intense, 2θ = 10–80°, in order of rising 2θ)
d/Å  Rel. int.
3.812  38
3.287  35
3.166  100
2.964  50
2.881  46
2.866  64
2.318  28
2.249  35
2.223  46
1.778  28

***

No. 3
Theoretical PXRD pattern of KTlHO for Cu Kα (weighted mean of Kα1 and Kα2), from the GGA-PBE geometry in Alexandria.

Atomic structure:
```
KTlHO
1.0
3.831 0.000 0.000
0.000 3.888 0.000
0.000 0.000 12.228
K Tl H O
2 2 2 2
direct
0.000 0.000 0.000
0.000 0.500 0.500
0.500 0.000 0.286
0.500 0.500 0.786
0.500 0.000 0.577
0.500 0.500 0.077
0.500 0.000 0.497
0.500 0.500 0.997
```

Peak list (10 most intense, 2θ = 10–80°, in order of rising 2θ)
d/Å  Rel. int.
6.114  79
3.831  41
3.705  92
3.246  84
3.057  43
2.813  56
2.663  100
2.389  26
2.268  39
1.821  42

***

No. 4
Theoretical PXRD pattern of PrZn3Cu for Cu Kα (weighted mean of Kα1 and Kα2), from the GGA-PBE geometry in Alexandria.

Atomic structure:
```
PrZn3Cu
1.0
2.939 -5.356 0.000
2.939 5.356 0.000
0.000 0.000 6.000
Pr Zn Cu
2 6 2
direct
0.239 0.761 0.750
0.761 0.239 0.250
0.126 0.874 0.250
0.275 0.275 0.000
0.275 0.275 0.500
0.725 0.725 0.000
0.725 0.725 0.500
0.874 0.126 0.750
0.355 0.645 0.250
0.645 0.355 0.750
```

Peak list (10 most intense, 2θ = 10–80°, in order of rising 2θ)
d/Å  Rel. int.
2.720  100
2.617  87
2.577  80
2.100  88
1.908  48
1.673  23
1.652  31
1.419  18
1.406  18
1.296  17

***

No. 5
Theoretical PXRD pattern of Pr3Nd5Sb8 for Cu Kα (weighted mean of Kα1 and Kα2), from the GGA-PBE geometry in Alexandria.

Atomic structure:
```
Pr3Nd5Sb8
1.0
4.538 2.620 7.409
-4.538 2.620 7.409
0.000 -5.240 7.409
Pr Nd Sb
3 5 8
direct
0.000 0.500 0.500
0.500 0.000 0.500
0.500 0.500 0.000
0.000 0.000 0.000
0.000 0.000 0.500
0.000 0.500 0.000
0.500 0.000 0.000
0.500 0.500 0.500
0.249 0.249 0.249
0.249 0.750 0.750
0.250 0.250 0.751
0.250 0.751 0.250
0.750 0.249 0.750
0.750 0.750 0.249
0.751 0.250 0.250
0.751 0.751 0.751
```

Peak list (8 most intense, 2θ = 10–80°, in order of rising 2θ)
d/Å  Rel. int.
3.705  1
3.208  100
2.269  77
1.935  1
1.852  28
1.604  13
1.435  35
1.310  26

***

No. 6
Theoretical PXRD pattern of SmFe11Mo for Cu Kα (weighted mean of Kα1 and Kα2), from the GGA-PBE geometry in Alexandria.

Atomic structure:
```
SmFe11Mo
1.0
-2.346 4.245 4.281
2.346 -4.245 4.281
2.346 4.245 -4.281
Sm Fe Mo
1 11 1
direct
0.000 0.000 0.000
0.005 0.005 0.499
0.005 0.506 0.000
0.231 0.508 0.723
0.237 0.737 0.500
0.365 0.007 0.358
0.506 0.005 0.000
0.506 0.506 0.501
0.647 0.647 0.000
0.648 0.007 0.642
0.772 0.272 0.500
0.785 0.508 0.277
0.375 0.375 0.000
```

Peak list (10 most intense, 2θ = 10–80°, in order of rising 2θ)
d/Å  Rel. int.
2.960  45
2.439  33
2.423  40
2.141  37
2.122  45
2.114  69
2.109  71
2.055  100
1.851  35
1.305  27

***

No. 7
Theoretical PXRD pattern of Sm8Dy5Tl for Cu Kα (weighted mean of Kα1 and Kα2), from the GGA-PBE geometry in Alexandria.

Atomic structure:
```
Sm8Dy5Tl
1.0
-5.256 5.389 4.211
5.256 -5.389 4.211
5.256 5.389 -4.211
Sm Dy Tl
8 5 1
direct
0.160 0.000 0.160
0.346 0.184 0.838
0.346 0.509 0.162
0.445 0.483 0.582
0.445 0.863 0.962
0.840 0.000 0.840
0.901 0.483 0.038
0.901 0.863 0.418
0.003 0.317 0.686
0.361 0.861 0.500
0.631 0.317 0.314
0.991 0.293 0.302
0.991 0.689 0.698
0.679 0.679 0.000
```

Peak list (10 most intense, 2θ = 10–80°, in order of rising 2θ)
d/Å  Rel. int.
3.318  29
3.305  28
3.235  39
2.802  100
2.774  99
2.715  61
2.695  25
2.645  28
2.613  36
1.837  21

***

No. 8
Theoretical PXRD pattern of In3Ag for Cu Kα (weighted mean of Kα1 and Kα2), from the GGA-PBE geometry in Alexandria.

Atomic structure:
```
In3Ag
1.0
8.114 0.000 0.000
0.000 10.270 0.000
0.000 0.000 4.766
In Ag
12 4
direct
0.000 0.118 0.250
0.000 0.882 0.750
0.208 0.393 0.250
0.208 0.607 0.750
0.292 0.107 0.750
0.292 0.893 0.250
0.500 0.382 0.750
0.500 0.618 0.250
0.708 0.107 0.750
0.708 0.893 0.250
0.792 0.393 0.250
0.792 0.607 0.750
0.000 0.312 0.750
0.000 0.688 0.250
0.500 0.188 0.250
0.500 0.812 0.750
```

Peak list (10 most intense, 2θ = 10–80°, in order of rising 2θ)
d/Å  Rel. int.
2.647  100
2.630  24
2.615  10
2.568  16
2.383  26
1.747  10
1.636  10
1.421  14
1.402  10
1.349  10

***

No. 9
Theoretical PXRD pattern of AcBr3 for Cu Kα (weighted mean of Kα1 and Kα2), from the GGA-PBE geometry in Alexandria.

Atomic structure:
```
AcBr3
1.0
8.233 0.000 0.000
0.000 4.715 0.000
-4.110 0.000 7.138
Ac Br
2 6
direct
0.167 0.250 0.333
0.833 0.750 0.667
0.112 0.250 0.913
0.198 0.750 0.611
0.414 0.750 0.302
0.586 0.250 0.698
0.802 0.250 0.389
0.888 0.750 0.087
```

Peak list (10 most intense, 2θ = 10–80°, in order of rising 2θ)
d/Å  Rel. int.
7.134  83
3.934  38
3.102  42
2.845  100
2.696  22
2.378  37
2.358  25
2.341  73
1.674  26
1.546  36

***

No. 10
Theoretical PXRD pattern of Mg14AlGa for Cu Kα (weighted mean of Kα1 and Kα2), from the GGA-PBE geometry in Alexandria.

Atomic structure:
```
Mg14AlGa
1.0
6.347 0.000 0.000
-3.173 5.496 0.000
0.000 0.000 10.011
Mg Al Ga
14 1 1
direct
0.000 0.000 0.250
0.000 0.000 0.750
0.006 0.503 0.250
0.006 0.503 0.750
0.332 0.166 0.000
0.332 0.166 0.500
0.497 0.503 0.250
0.497 0.503 0.750
0.497 0.994 0.250
0.497 0.994 0.750
0.834 0.166 0.000
0.834 0.166 0.500
0.834 0.668 0.000
0.834 0.668 0.500
0.333 0.667 0.000
0.333 0.667 0.500
```

Peak list (10 most intense, 2θ = 10–80°, in order of rising 2θ)
d/Å  Rel. int.
5.496  7
4.818  8
2.748  25
2.503  25
2.409  100
1.850  15
1.587  17
1.426  18
1.340  19
1.325  14

***

No. 11
Theoretical PXRD pattern of Ho3Be6Pd20 for Cu Kα (weighted mean of Kα1 and Kα2), from the GGA-PBE geometry in Alexandria.

Atomic structure:
```
Ho3Be6Pd20
1.0
0.000 5.984 5.984
5.984 0.000 5.984
5.984 5.984 0.000
Ho Be Pd
3 6 20
direct
0.000 0.000 0.000
0.250 0.250 0.250
0.750 0.750 0.750
0.272 0.272 0.728
0.272 0.728 0.272
0.272 0.728 0.728
0.728 0.272 0.272
0.728 0.272 0.728
0.728 0.728 0.272
0.000 0.000 0.341
0.000 0.000 0.659
0.000 0.341 0.000
0.000 0.341 0.659
0.000 0.659 0.000
0.000 0.659 0.341
0.148 0.617 0.617
0.341 0.000 0.000
0.341 0.000 0.659
0.341 0.659 0.000
0.383 0.383 0.383
0.383 0.383 0.852
0.383 0.852 0.383
0.617 0.148 0.617
0.617 0.617 0.148
0.617 0.617 0.617
0.659 0.000 0.000
0.659 0.000 0.341
0.659 0.341 0.000
0.852 0.383 0.383
```

Peak list (10 most intense, 2θ = 10–80°, in order of rising 2θ)
d/Å  Rel. int.
2.676  27
2.443  43
2.303  100
2.116  26
2.023  20
1.995  9
1.411  30
1.382  15
1.222  19
1.203  10

***

No. 12
Theoretical PXRD pattern of Ba6As2HBr3 for Cu Kα (weighted mean of Kα1 and Kα2), from the GGA-PBE geometry in Alexandria.

Atomic structure:
```
Ba6As2HBr3
1.0
4.035 -6.989 0.000
4.035 6.989 0.000
-2.704 0.000 7.825
Ba As H Br
6 2 1 3
direct
0.091 0.425 0.775
0.241 0.241 0.226
0.425 0.091 0.775
0.575 0.909 0.225
0.759 0.759 0.774
0.909 0.575 0.225
0.166 0.834 0.000
0.834 0.166 0.000
0.500 0.500 0.000
0.000 0.000 0.500
0.329 0.671 0.500
0.671 0.329 0.500
```

Peak list (10 most intense, 2θ = 10–80°, in order of rising 2θ)
d/Å  Rel. int.
3.816  15
3.325  100
2.373  36
2.330  38
1.908  20
1.662  12
1.499  10
1.476  18
1.354  8
1.345  7